HfPaBe: computed powder diffraction line list (λ = 1.5418 Å (Cu Kα)), based on a cell relaxed with PBE.

```
data_HfPaBe
_chemical_formula_sum 'Hf16 Pa16 Be16'
_symmetry_space_group_name_H-M 'F d d d'
_symmetry_Int_Tables_number 70
_cell_length_a 5.4368
_cell_length_b 9.1844
_cell_length_c 18.1808
_cell_angle_alpha 90.00
_cell_angle_beta 90.00
_cell_angle_gamma 90.00
loop_
_symmetry_equiv_pos_as_xyz
'x,y,z'
'-x,-y,-z'
'-x+1/4,-y+1/4,z'
'x+1/4,y+1/4,-z'
'x,-y+1/4,-z+1/4'
'-x,y+1/4,z+1/4'
'-x+1/4,y,-z+1/4'
'x+1/4,-y,z+1/4'
'x,y+1/2,z+1/2'
'-x,-y+1/2,-z+1/2'
'-x+1/4,-y+3/4,z+1/2'
'x+1/4,y+3/4,-z+1/2'
'x,-y+3/4,-z+3/4'
'-x,y+3/4,z+3/4'
'-x+1/4,y+1/2,-z+3/4'
'x+1/4,-y+1/2,z+3/4'
'x+1/2,y,z+1/2'
'-x+1/2,-y,-z+1/2'
'-x+3/4,-y+1/4,z+1/2'
'x+3/4,y+1/4,-z+1/2'
'x+1/2,-y+1/4,-z+3/4'
'-x+1/2,y+1/4,z+3/4'
'-x+3/4,y,-z+3/4'
'x+3/4,-y,z+3/4'
'x+1/2,y+1/2,z'
'-x+1/2,-y+1/2,-z'
'-x+3/4,-y+3/4,z'
'x+3/4,y+3/4,-z'
'x+1/2,-y+3/4,-z+1/4'
'-x+1/2,y+3/4,z+1/4'
'-x+3/4,y+1/2,-z+1/4'
'x+3/4,-y+1/2,z+1/4'
loop_
_atom_site_label
_atom_site_type_symbol
_atom_site_fract_x
_atom_site_fract_y
_atom_site_fract_z
Hf1 Hf 0.1250 0.2963 0.1250
Pa1 Pa 0.1250 0.1250 0.5440
Be1 Be 0.1250 0.1250 0.0010
```

Principal peaks in the range 2θ = 10–80°, in order of falling intensity:
(1 3 1), 34.0°, I = 100
(0 2 6), 35.5°, I = 68
(1 1 5), 31.2°, I = 65
(2 0 2), 34.4°, I = 62
(1 1 7), 39.7°, I = 42
(1 1 1), 19.6°, I = 39
(2 2 4), 43.5°, I = 31
(0 6 2), 61.4°, I = 26
(2 4 6), 61.0°, I = 25
(1 3 3), 36.8°, I = 21